Diffraction record for Rb3VO4. The PXRD pattern is theoretical, not measured: it uses a PBE+U-relaxed structure and CuKα.

Most intense lines, 10° ≤ 2θ ≤ 90°, sorted by position:
| 2theta | I (rel.) |
| --- | --- |
| 27.88 | 100 |
| 29.17 | 61 |
| 29.53 | 61 |
| 30.88 | 17 |
| 31.17 | 22 |
| 34.15 | 12 |
| 37.28 | 17 |
| 39.29 | 22 |
| 40.37 | 21 |
| 49.88 | 28 |
| 50.58 | 17 |
| 55.27 | 13 |

Crystal structure
```
data_Rb3VO4
_symmetry_space_group_name_H-M 'P n m a'
_symmetry_Int_Tables_number 62
_cell_length_a 8.222
_cell_length_b 8.937
_cell_length_c 9.173
_cell_angle_alpha 90.00
_cell_angle_beta 90.00
_cell_angle_gamma 90.00
loop_
_symmetry_equiv_pos_as_xyz
'x,y,z'
'-x,-y,-z'
'-x+1/2,-y,z+1/2'
'x+1/2,y,-z+1/2'
'x+1/2,-y+1/2,-z+1/2'
'-x+1/2,y+1/2,z+1/2'
'-x,y+1/2,-z'
'x,-y+1/2,z'
loop_
_atom_site_label
_atom_site_type_symbol
_atom_site_fract_x
_atom_site_fract_y
_atom_site_fract_z
Rb1 Rb 0.037 0.020 0.224
Rb2 Rb 0.173 0.750 0.491
V1 V 0.223 0.750 0.984
O1 O 0.021 0.750 0.045
O2 O 0.178 0.088 0.545
O3 O 0.223 0.750 0.792
```